# ThSc3Sb4
Simulated powder X-ray diffraction pattern, Cu Kα X-rays. Input: a PBE-relaxed structure.

Top 6 peaks for 15° ≤ 2θ ≤ 90°, by intensity:
d [Å], 2θ (°), intensity
3.015, 29.63, 100
2.131, 42.41, 49
1.348, 69.76, 21
3.641, 24.45, 16
1.745, 52.43, 13
2.141, 42.21, 13

Atomic structure:
a = 7.373 Å, b = 7.373 Å, c = 4.282 Å
α = 90.00°, β = 90.00°, γ = 109.59°
Fractional coordinates of all 8 atoms:
Th  0.000  0.000  0.000
Sc  0.000  0.500  0.500
Sc  0.500  0.000  0.500
Sc  0.500  0.500  0.000
Sb  0.258  0.742  0.000
Sb  0.268  0.268  0.500
Sb  0.732  0.732  0.500
Sb  0.742  0.258  0.000